1.
Diffraction record for Cr2Se3. The powder X-ray diffraction pattern is simulated, not measured: it uses a PBE-relaxed structure and Cu Kα (weighted mean of Kα1 and Kα2).
Intensities are scaled so that the largest is 100.

Structural model:
a = 6.944 Å, b = 6.944 Å, c = 6.944 Å
α = 54.50°, β = 54.50°, γ = 54.50°
Fractional coordinates of all 10 atoms:
Cr  0.000  0.000  0.000
Cr  0.176  0.176  0.176
Cr  0.500  0.500  0.500
Cr  0.824  0.824  0.824
Se  0.096  0.762  0.404
Se  0.238  0.596  0.904
Se  0.404  0.096  0.762
Se  0.596  0.904  0.238
Se  0.762  0.404  0.096
Se  0.904  0.238  0.596

The 6 most intense peaks (2θ from 10° to 90°), sorted by position:
Position (°2θ)  d_spacing  Rel. int.
31.98  2.798  100
41.79  2.161  53
49.66  1.836  37
54.93  1.671  21
60.30  1.535  15
84.27  1.149  13


2.
Diffraction record for Cr2Se3. The powder X-ray diffraction pattern is simulated, not measured: it uses a PBE-relaxed structure and Cu Kα (weighted mean of Kα1 and Kα2).
Intensities are scaled so that the largest is 100.

Structural model:
a = 6.351 Å, b = 6.351 Å, c = 11.753 Å
α = 90.00°, β = 90.00°, γ = 120.00°
Fractional coordinates of all 20 atoms:
Cr  0.000  0.000  0.000
Cr  0.000  0.000  0.500
Cr  0.333  0.667  0.012
Cr  0.333  0.667  0.488
Cr  0.333  0.667  0.750
Cr  0.667  0.333  0.250
Cr  0.667  0.333  0.512
Cr  0.667  0.333  0.988
Se  0.012  0.339  0.620
Se  0.012  0.673  0.880
Se  0.327  0.339  0.880
Se  0.327  0.988  0.620
Se  0.339  0.012  0.120
Se  0.339  0.327  0.380
Se  0.661  0.673  0.620
Se  0.661  0.988  0.880
Se  0.673  0.012  0.380
Se  0.673  0.661  0.120
Se  0.988  0.327  0.120
Se  0.988  0.661  0.380

The 6 most intense peaks (2θ from 10° to 90°), sorted by position:
Position (°2θ)  d_spacing  Rel. int.
32.04  2.794  100
41.89  2.157  53
49.73  1.834  39
55.09  1.667  21
60.39  1.533  15
84.51  1.146  14


3.
Diffraction record for Ta3CrSe6. The powder X-ray diffraction pattern is simulated, not measured: it uses a PBE-relaxed structure and Cu Kα (weighted mean of Kα1 and Kα2).
Intensities are scaled so that the largest is 100.

Structural model:
a = 6.010 Å, b = 6.010 Å, c = 12.901 Å
α = 90.00°, β = 90.00°, γ = 120.00°
Fractional coordinates of all 20 atoms:
Ta  0.000  0.000  0.000
Ta  0.000  0.000  0.500
Ta  0.333  0.667  0.000
Ta  0.333  0.667  0.500
Ta  0.667  0.333  0.000
Ta  0.667  0.333  0.500
Cr  0.333  0.667  0.250
Cr  0.667  0.333  0.750
Se  0.006  0.334  0.870
Se  0.006  0.672  0.630
Se  0.328  0.334  0.630
Se  0.328  0.994  0.870
Se  0.334  0.006  0.130
Se  0.334  0.328  0.370
Se  0.666  0.672  0.870
Se  0.666  0.994  0.630
Se  0.672  0.006  0.370
Se  0.672  0.666  0.130
Se  0.994  0.328  0.130
Se  0.994  0.666  0.370

The 6 most intense peaks (2θ from 10° to 90°), sorted by position:
Position (°2θ)  d_spacing  Rel. int.
13.73  6.450  71
30.55  2.926  26
32.88  2.724  67
41.06  2.198  100
52.77  1.735  40
81.49  1.181  22


4.
Diffraction record for Cr4Te3Se. The powder X-ray diffraction pattern is simulated, not measured: it uses a PBE-relaxed structure and Cu Kα (weighted mean of Kα1 and Kα2).
Intensities are scaled so that the largest is 100.

Structural model:
a = 4.047 Å, b = 4.047 Å, c = 12.584 Å
α = 90.00°, β = 90.00°, γ = 120.00°
Fractional coordinates of all 8 atoms:
Cr  0.000  0.000  0.119
Cr  0.000  0.000  0.374
Cr  0.000  0.000  0.626
Cr  0.000  0.000  0.881
Te  0.333  0.667  0.248
Te  0.333  0.667  0.752
Te  0.667  0.333  0.500
Se  0.667  0.333  0.000

The 6 most intense peaks (2θ from 10° to 90°), sorted by position:
Position (°2θ)  d_spacing  Rel. int.
29.17  3.062  100
38.45  2.341  60
44.79  2.023  44
50.73  1.800  21
54.34  1.688  17
76.74  1.242  16


5.
Diffraction record for Cr5Te6Se2. The powder X-ray diffraction pattern is simulated, not measured: it uses a PBE-relaxed structure and Cu Kα (weighted mean of Kα1 and Kα2).
Intensities are scaled so that the largest is 100.

Structural model:
a = 3.850 Å, b = 3.850 Å, c = 25.063 Å
α = 90.00°, β = 90.00°, γ = 120.00°
Fractional coordinates of all 13 atoms:
Cr  0.000  0.000  0.000
Cr  0.000  0.000  0.133
Cr  0.000  0.000  0.267
Cr  0.000  0.000  0.513
Cr  0.000  0.000  0.756
Te  0.333  0.667  0.198
Te  0.333  0.667  0.447
Te  0.333  0.667  0.693
Te  0.333  0.667  0.941
Te  0.667  0.333  0.067
Te  0.667  0.333  0.818
Se  0.667  0.333  0.314
Se  0.667  0.333  0.560

The 6 most intense peaks (2θ from 10° to 90°), sorted by position:
Position (°2θ)  d_spacing  Rel. int.
30.37  2.943  100
39.47  2.283  39
47.21  1.925  32
51.64  1.770  21
57.18  1.611  16
77.22  1.235  13


6.
Diffraction record for ThCrSe3. The powder X-ray diffraction pattern is simulated, not measured: it uses a PBE-relaxed structure and Cu Kα (weighted mean of Kα1 and Kα2).
Intensities are scaled so that the largest is 100.

Structural model:
a = 7.754 Å, b = 9.377 Å, c = 6.519 Å
α = 90.00°, β = 90.00°, γ = 90.00°
Fractional coordinates of all 20 atoms:
Th  0.121  0.250  0.057
Th  0.379  0.750  0.557
Th  0.621  0.250  0.443
Th  0.879  0.750  0.943
Cr  0.000  0.000  0.500
Cr  0.000  0.500  0.500
Cr  0.500  0.000  0.000
Cr  0.500  0.500  0.000
Se  0.041  0.750  0.359
Se  0.172  0.556  0.832
Se  0.172  0.944  0.832
Se  0.328  0.056  0.332
Se  0.328  0.444  0.332
Se  0.459  0.250  0.859
Se  0.541  0.750  0.141
Se  0.672  0.556  0.668
Se  0.672  0.944  0.668
Se  0.828  0.056  0.168
Se  0.828  0.444  0.168
Se  0.959  0.250  0.641

The 6 most intense peaks (2θ from 10° to 90°), sorted by position:
Position (°2θ)  d_spacing  Rel. int.
20.16  4.405  100
31.26  2.861  81
32.98  2.716  65
33.84  2.649  76
36.94  2.433  56
37.43  2.403  56


7.
Diffraction record for TiCr2Se4. The powder X-ray diffraction pattern is simulated, not measured: it uses a PBE-relaxed structure and Cu Kα (weighted mean of Kα1 and Kα2).
Intensities are scaled so that the largest is 100.

Structural model:
a = 6.989 Å, b = 6.989 Å, c = 6.398 Å
α = 115.47°, β = 115.47°, γ = 30.11°
Fractional coordinates of all 7 atoms:
Ti  0.000  0.000  0.000
Cr  0.486  0.486  0.429
Cr  0.746  0.746  0.714
Se  0.110  0.110  0.734
Se  0.379  0.379  0.682
Se  0.626  0.626  0.263
Se  0.862  0.862  0.163

The 6 most intense peaks (2θ from 10° to 90°), sorted by position:
Position (°2θ)  d_spacing  Rel. int.
31.77  2.816  100
32.09  2.789  52
32.20  2.780  51
41.02  2.200  50
41.73  2.164  67
49.60  1.838  59


8.
Diffraction record for TiCr2Se4. The powder X-ray diffraction pattern is simulated, not measured: it uses a PBE-relaxed structure and Cu Kα (weighted mean of Kα1 and Kα2).
Intensities are scaled so that the largest is 100.

Structural model:
a = 6.981 Å, b = 6.981 Å, c = 6.523 Å
α = 117.27°, β = 117.27°, γ = 30.25°
Fractional coordinates of all 7 atoms:
Ti  0.000  0.000  0.000
Cr  0.261  0.261  0.279
Cr  0.739  0.739  0.721
Se  0.124  0.124  0.447
Se  0.366  0.366  0.027
Se  0.634  0.634  0.973
Se  0.876  0.876  0.553

The 6 most intense peaks (2θ from 10° to 90°), sorted by position:
Position (°2θ)  d_spacing  Rel. int.
31.44  2.845  50
31.86  2.809  100
32.00  2.797  47
41.53  2.175  47
41.75  2.163  34
48.78  1.867  59


> Which formula does entry 1 have?

Cr2Se3